Structure and simulated powder X-ray diffraction pattern of Ba6Tm2Al4O15 (a cell relaxed with PBE; Cu Ka).
Lines closer than 0.1° are merged.

The 12 most intense peaks (2θ from 10° to 90°), by angle:
2θ (°)  Rel. int.
14.56  18.8
19.24  16.8
19.39  16.4
29.07  53.0
30.14  51.7
30.52  100.0
31.12  93.8
42.37  49.6
45.88  22.2
52.06  18.3
53.78  16.3
55.91  22.6

Cell and atoms:
```
54
Lattice="7.9143 0.0000 0.0000 0.0000 5.9293 0.0000 -0.5005 0.0000 18.4326" Properties=species:S:1:pos:R:3 pbc="T T T"
Ba -0.1251 1.0224 4.6081
Ba -0.3754 4.9068 13.8244
Ba -0.4493 1.5230 16.9421
Ba -0.1990 4.4063 7.7258
Ba 3.2714 1.4609 16.7908
Ba 3.5217 4.4683 7.5745
Ba 3.8321 1.3116 4.6081
Ba 3.5818 4.6176 13.8244
Ba 3.8922 1.4609 10.8580
Ba 4.1425 4.4683 1.6418
Ba 7.6129 1.5230 10.7068
Ba 7.8631 4.4063 1.4905
Tm 1.9431 1.4453 1.6556
Tm 1.6929 4.4840 10.8718
Tm 5.7210 1.4453 7.5607
Tm 5.4707 4.4840 16.7770
Al 1.7785 1.4986 8.1968
Al 1.5282 4.4307 17.4131
Al 1.8429 1.6169 13.4864
Al 2.0931 4.3123 4.2701
Al 5.3207 1.6169 14.1624
Al 5.5710 4.3123 4.9461
Al 5.8856 1.4986 1.0194
Al 5.6354 4.4307 10.2357
O 0.1034 1.5048 7.5281
O -0.1469 4.4244 16.7444
O 1.1080 1.1078 14.9917
O 1.3583 4.8215 5.7754
O 1.7469 2.7732 3.4564
O 1.4967 3.1560 12.6727
O 1.6665 0.2880 12.2863
O 1.9167 5.6412 3.0700
O 1.8197 2.9462 9.2851
O 2.0699 2.9830 0.0689
O 1.8299 0.0455 9.2503
O 2.0801 5.8837 0.0340
O 3.3404 1.5250 7.2932
O 3.0901 4.4043 16.5095
O 3.5818 1.7144 13.8244
O 3.8321 4.2149 4.6081
O 4.3237 1.5250 1.9230
O 4.0735 4.4043 11.1393
O 5.3337 0.0455 18.3986
O 5.5840 5.8837 9.1823
O 5.3439 2.9462 18.3637
O 5.5942 2.9830 9.1474
O 5.4971 0.2880 15.3626
O 5.7474 5.6412 6.1463
O 5.9172 2.7732 5.7599
O 5.6669 3.1560 14.9761
O 6.0556 1.1078 12.6571
O 6.3058 4.8215 3.4408
O 7.5607 1.5048 1.6882
O 7.3105 4.4244 10.9045
```

***

Structure and simulated powder X-ray diffraction pattern of CaSn3O7 (a cell relaxed with PBE; Cu Ka).
Lines closer than 0.1° are merged.

The 12 most intense peaks (2θ from 10° to 90°), by angle:
2θ (°)  Rel. int.
17.14  17.6
24.91  52.7
29.11  100.0
33.16  27.3
34.51  22.6
35.10  39.2
42.23  14.0
48.61  40.1
48.73  21.9
56.11  18.0
56.76  18.9
66.74  13.3

Cell and atoms:
```
44
Lattice="10.3488 0.0000 0.0000 0.0000 10.8077 0.0000 0.0000 0.0000 5.3700" Properties=species:S:1:pos:R:3 pbc="T T T"
Ca 1.2302 2.7019 0.8995
Ca 3.9442 8.1057 3.5845
Ca 6.4046 2.7019 1.7855
Ca 9.1186 8.1057 4.4705
Sn 1.4878 0.1032 3.3195
Sn 1.4878 5.3006 3.3195
Sn 1.6519 8.1057 0.9146
Sn 3.5225 2.7019 3.5996
Sn 3.6866 5.5070 0.6345
Sn 3.6866 10.7045 0.6345
Sn 6.6622 0.1032 4.7355
Sn 6.6622 5.3006 4.7355
Sn 6.8263 8.1057 1.7703
Sn 8.6969 2.7019 4.4553
Sn 8.8610 5.5070 2.0505
Sn 8.8610 10.7045 2.0505
O 0.2570 2.7019 4.1472
O 0.2817 0.7276 1.6343
O 0.2817 4.6762 1.6343
O 2.3369 6.7320 4.8866
O 2.3369 9.4795 4.8866
O 2.5693 1.2667 4.8092
O 2.5693 4.1372 4.8092
O 2.6050 6.6705 2.1242
O 2.6050 9.5410 2.1242
O 2.8375 1.3281 2.2017
O 2.8375 4.0757 2.2017
O 4.8927 6.1314 4.3193
O 4.8927 10.0801 4.3193
O 4.9174 8.1057 1.4622
O 5.4314 2.7019 3.9078
O 5.4561 0.7276 1.0507
O 5.4561 4.6762 1.0507
O 7.5113 6.7320 3.1683
O 7.5113 9.4795 3.1683
O 7.7437 1.2667 3.2457
O 7.7437 4.1372 3.2457
O 7.7794 6.6705 0.5607
O 7.7794 9.5410 0.5607
O 8.0119 1.3281 0.4833
O 8.0119 4.0757 0.4833
O 10.0671 6.1314 3.7357
O 10.0671 10.0801 3.7357
O 10.0918 8.1057 1.2228
```

***

Structure and simulated powder X-ray diffraction pattern of RbMg6V (a cell relaxed with PBE; Cu Ka).
Lines closer than 0.1° are merged.

The 12 most intense peaks (2θ from 10° to 90°), by angle:
2θ (°)  Rel. int.
15.64  44.7
22.18  23.7
24.84  12.5
31.44  11.0
31.57  60.9
35.30  100.0
42.09  10.9
45.16  15.3
45.26  16.5
49.49  10.7
58.67  29.4
65.62  13.5

Cell and atoms:
```
8
Lattice="3.2900 0.0000 0.0000 0.0000 5.6719 5.6624 0.0000 -5.6719 5.6624" Properties=species:S:1:pos:R:3 pbc="T T T"
Rb 0.0000 0.0000 0.0000
Mg 0.0000 -2.7854 2.9185
Mg 0.0000 2.7855 2.9185
Mg 1.6450 0.0000 3.3555
Mg 1.6450 -2.3097 5.7527
Mg 1.6450 0.0000 7.9472
Mg 1.6450 2.3098 5.7527
V 0.0000 0.0000 5.6291
```